1.
# LaScPCl
Computed PXRD pattern, Cu Ka. Input: a PBE-relaxed structure.
Neutral-atom scattering factors, no anomalous dispersion.

Cell and atoms:
```
data_LaScPCl
_cell_length_a 4.2536
_cell_length_b 4.2536
_cell_length_c 40.9183
_cell_angle_alpha 90.00
_cell_angle_beta 90.00
_cell_angle_gamma 120.00
_space_group_name_H-M_alt 'R -3 m'
_space_group_IT_number 166
_space_group_name_Hall '-R 3 2"'
loop_
_atom_site_label
_atom_site_fract_x
_atom_site_fract_y
_atom_site_fract_z
_atom_site_occupancy
La1 0.0000 0.0000 0.0863 1
Sc1 0.0000 0.0000 0.3105 1
P1 0.0000 0.0000 0.3784 1
Cl1 0.0000 0.0000 0.2061 1
```

Peak list (10 most intense, 5 to 70 degrees two-theta, low angle first)
(hkl)	2theta	intensity
0 0 3	6.5	38
0 0 6	13.0	100
1 0 1	24.3	48
1 0 4	25.7	44
0 1 5	26.5	57
1 0 7	28.6	83
1 0 10	32.7	80
1 0 13	37.6	48
1 1 0	42.5	85
0 1 17	45.0	50

2.
# La2SmP2Cl2
Computed PXRD pattern, Cu Ka. Input: a PBE-relaxed structure.
Neutral-atom scattering factors, no anomalous dispersion.

Cell and atoms:
```
data_La2SmP2Cl2
_cell_length_a 5.437
_cell_length_b 5.437
_cell_length_c 14.361
_cell_angle_alpha 90.00
_cell_angle_beta 90.00
_cell_angle_gamma 90.00
_space_group_name_H-M_alt 'I 4/m m m'
_space_group_IT_number 139
_space_group_name_Hall '-I 4 2'
loop_
_atom_site_label
_atom_site_fract_x
_atom_site_fract_y
_atom_site_fract_z
_atom_site_occupancy
La1 0.000 0.000 0.104 1
Sm1 0.000 0.000 0.500 1
P1 0.000 0.500 0.000 1
Cl1 0.000 0.000 0.298 1
```

Peak list (10 most intense, 5 to 70 degrees two-theta, low angle first)
(hkl)	2theta	intensity
0 0 2	12.3	54
1 1 0	23.1	96
1 0 3	24.8	32
2 0 0	32.9	64
1 0 5	35.3	100
2 1 3	41.7	17
2 2 0	47.3	25
2 1 5	49.1	71
3 1 0	53.3	19
3 0 5	60.4	17